This entry pairs a crystal structure of H16PtC4N2Cl6 with its simulated X-ray diffraction stick pattern. Radiation: CuKα. Structure: DFT lattice parameters and positions (GGA-PBE).

Peak list (10 most intense, 5 to 70 degrees two-theta, in order of rising 2θ)
- hkl 1 1 0, d 7.626, 2θ 11.6, I 100.0
- hkl 2 0 -1, d 6.100, 2θ 14.5, I 35.9
- hkl 1 1 -1, d 5.927, 2θ 14.9, I 22.9
- hkl 2 0 0, d 5.660, 2θ 15.7, I 9.7
- hkl 0 2 0, d 5.159, 2θ 17.2, I 13.6
- hkl 1 1 1, d 4.094, 2θ 21.7, I 22.1
- hkl 2 2 -1, d 3.939, 2θ 22.6, I 18.7
- hkl 2 2 -2, d 2.964, 2θ 30.2, I 14.8
- hkl 4 0 0, d 2.830, 2θ 31.6, I 9.1
- hkl 3 3 -2, d 2.435, 2θ 36.9, I 18.0

Structural model:
a b c (Å): 13.4055 10.3188 7.2408
angles (deg): 90.00 122.38 90.00
Space group C2/m (No. 12)
Unique sites:
H 0.1493 0.0000 0.2593 [4 per cell]
H 0.1513 0.0000 0.0337 [4 per cell]
H 0.1661 0.3777 0.7919 [8 per cell]
H 0.1678 0.3779 0.5455 [8 per cell]
H 0.2188 0.2046 0.2161 [8 per cell]
Pt 0.0000 0.0000 0.5000 [2 per cell]
C 0.2221 0.3792 0.7244 [8 per cell]
N 0.2059 0.0000 0.2028 [4 per cell]
Cl 0.0011 0.1589 0.2680 [8 per cell]
Cl 0.2081 0.0000 0.7087 [4 per cell]